Structure and calculated XRD peak list of Cs3Re2PbO8 (a GGA-PBE-relaxed structure; Cu Kα X-rays).
No peak broadening, texture or thermal motion is included.

Atomic structure:
Lattice parameters (Å, degrees): 6.4855 6.4855 8.5575 90.00 90.00 120.00
Space group P-3m1 (No. 164)
Unique sites:
Cs: 0.0000 0.0000 0.0000 [1 per cell]
Cs: 0.3333 0.6667 0.6751 [2 per cell]
Re: 0.3333 0.6667 0.2282 [2 per cell]
Pb: 0.0000 0.0000 0.5000 [1 per cell]
O: 0.1810 0.3620 0.3098 [6 per cell]
O: 0.3333 0.6667 0.0197 [2 per cell]

Main lines, sorted by position (5 to 70 degrees two-theta):
| d (Å) | two_theta | Rel. int. |
| --- | --- | --- |
| 4.696 | 18.9 | 14 |
| 3.404 | 26.2 | 93 |
| 3.243 | 27.5 | 100 |
| 2.348 | 38.3 | 43 |
| 1.902 | 47.8 | 36 |
| 1.872 | 48.6 | 21 |
| 1.621 | 56.8 | 16 |
| 1.464 | 63.6 | 16 |

Structure and calculated XRD peak list of La2Nd6Sm3Pb (a GGA-PBE-relaxed structure; Cu Kα X-rays).
No peak broadening, texture or thermal motion is included.

Atomic structure:
Lattice parameters (Å, degrees): 6.278 10.889 12.118 90.00 100.07 90.00
Space group C2/m (No. 12)
Unique sites:
La: 0.000 0.166 0.000 [4 per cell]
Nd: 0.240 0.500 0.749 [4 per cell]
Nd: 0.245 0.338 0.250 [8 per cell]
Sm: 0.000 0.000 0.500 [2 per cell]
Sm: 0.000 0.331 0.500 [4 per cell]
Pb: 0.000 0.500 0.000 [2 per cell]

Main lines, sorted by position (5 to 70 degrees two-theta):
| d (Å) | two_theta | Rel. int. |
| --- | --- | --- |
| 2.983 | 30.0 | 34 |
| 2.964 | 30.2 | 100 |
| 2.571 | 34.9 | 68 |
| 1.822 | 50.1 | 25 |
| 1.814 | 50.3 | 24 |
| 1.551 | 59.6 | 19 |
| 1.548 | 59.7 | 19 |
| 1.482 | 62.7 | 12 |

Structure and calculated XRD peak list of PmPrIO6 (a GGA-PBE-relaxed structure; Cu Kα X-rays).
No peak broadening, texture or thermal motion is included.

Atomic structure:
Lattice parameters (Å, degrees): 5.8256 5.8256 9.5810 90.00 90.00 120.00
Space group P-31c (No. 163)
Unique sites:
Pm: 0.0000 0.0000 0.0000 [2 per cell]
Pr: 0.3333 0.6667 0.2500 [2 per cell]
I: 0.3333 0.6667 0.7500 [2 per cell]
O: 0.0501 0.3712 0.6336 [12 per cell]

Main lines, sorted by position (5 to 70 degrees two-theta):
| d (Å) | two_theta | Rel. int. |
| --- | --- | --- |
| 3.474 | 25.6 | 100 |
| 2.913 | 30.7 | 54 |
| 2.489 | 36.1 | 10 |
| 2.232 | 40.4 | 30 |
| 1.850 | 49.3 | 44 |
| 1.772 | 51.6 | 29 |
| 1.682 | 54.6 | 18 |
| 1.376 | 68.1 | 10 |

Structure and calculated XRD peak list of Cs2CdAg2F6 (a GGA-PBE-relaxed structure; Cu Kα X-rays).
No peak broadening, texture or thermal motion is included.

Atomic structure:
Lattice parameters (Å, degrees): 6.8718 6.8718 17.9112 90.00 90.00 120.00
Space group R-3m (No. 166, hexagonal axes)
Unique sites:
Cs: 0.0000 0.0000 0.2191 [6 per cell]
Cd: 0.0000 0.0000 0.0000 [3 per cell]
Ag: 0.0000 0.0000 0.4202 [6 per cell]
F: 0.0410 0.5205 0.7478 [18 per cell]

Main lines, sorted by position (5 to 70 degrees two-theta):
| d (Å) | two_theta | Rel. int. |
| --- | --- | --- |
| 3.436 | 25.9 | 100 |
| 3.069 | 29.1 | 57 |
| 2.289 | 39.4 | 26 |
| 1.984 | 45.7 | 20 |
| 1.905 | 47.7 | 35 |
| 1.722 | 53.2 | 15 |
| 1.717 | 53.3 | 23 |
| 1.499 | 61.9 | 13 |

What is the formula in the second record?
La2Nd6Sm3Pb